Record 1
Structure and theoretical X-ray powder pattern of Sm4InCo2Ge4 (a structure optimized by DFT (PBE); CuKα).
Kinematic intensities with the Lorentz-polarization factor, no thermal factor.

Most intense lines, 10° ≤ 2θ ≤ 80°, most intense first:
| h k l | 2theta | I (rel.) |
| --- | --- | --- |
| 3 1 -2 | 34.2 | 100 |
| 3 1 1 | 32.7 | 80 |
| 0 2 0 | 42.3 | 39 |
| 1 1 2 | 35.5 | 33 |
| 5 1 0 | 36.5 | 24 |
| 6 0 -4 | 55.5 | 21 |
| 5 1 -1 | 35.7 | 21 |
| 0 0 3 | 39.6 | 20 |
| 3 1 0 | 27.4 | 19 |
| 6 0 -2 | 37.7 | 17 |

Lattice parameters (Å, degrees): 15.738 4.278 7.144 90.00 107.23 90.00
Space group C2/m (No. 12)
Unique sites:
Sm 0.089 0.000 0.384 x4
Sm 0.155 0.000 0.942 x4
In 0.000 0.500 0.000 x2
Co 0.220 0.500 0.624 x4
Ge 0.069 0.500 0.657 x4
Ge 0.211 0.500 0.279 x4

---

Record 2
Structure and theoretical X-ray powder pattern of PrSmTlFe2 (a structure optimized by DFT (PBE); CuKα).
Kinematic intensities with the Lorentz-polarization factor, no thermal factor.

Most intense lines, 10° ≤ 2θ ≤ 80°, most intense first:
| h k l | 2theta | I (rel.) |
| --- | --- | --- |
| 1 1 1 | 32.6 | 100 |
| 1 0 4 | 33.4 | 76 |
| 0 1 3 | 29.4 | 48 |
| 0 1 5 | 38.7 | 33 |
| 1 2 4 | 58.3 | 31 |
| 2 0 0 | 45.5 | 21 |
| 0 2 0 | 46.3 | 20 |
| 1 1 7 | 55.2 | 18 |
| 0 0 6 | 37.2 | 18 |
| 2 1 3 | 55.0 | 17 |

Lattice parameters (Å, degrees): 3.991 3.918 14.481 90.00 90.00 90.00
Space group Amm2 (No. 38)
Unique sites:
Pr 0.000 0.000 0.000 x2
Sm 0.000 0.000 0.726 x2
Tl 0.500 0.000 0.361 x2
Fe 0.500 0.000 0.158 x2
Fe 0.500 0.000 0.574 x2

---

Record 3
Structure and theoretical X-ray powder pattern of Co13Ni16 (a structure optimized by DFT (PBE); CuKα).
Kinematic intensities with the Lorentz-polarization factor, no thermal factor.

Most intense lines, 10° ≤ 2θ ≤ 80°, most intense first:
| h k l | 2theta | I (rel.) |
| --- | --- | --- |
| 4 1 1 | 44.8 | 100 |
| 3 3 2 | 49.9 | 31 |
| 4 3 1 | 54.6 | 15 |
| 4 2 2 | 52.3 | 10 |
| 5 5 0 | 79.0 | 9 |
| 4 0 0 | 42.2 | 9 |
| 4 4 4 | 77.1 | 4 |
| 6 2 2 | 73.2 | 3 |
| 3 2 1 | 39.3 | 2 |
| 5 3 2 | 67.3 | 1 |

Lattice parameters (Å, degrees): 8.574 8.574 8.574 90.00 90.00 90.00
Space group I-43m (No. 217)
Unique sites:
Co 0.000 0.000 0.000 x2
Co 0.045 0.362 0.638 x24
Ni 0.093 0.093 0.717 x24
Ni 0.180 0.180 0.180 x8

---

Record 4
Structure and theoretical X-ray powder pattern of BeCuAgSb (a structure optimized by DFT (PBE); CuKα).
Kinematic intensities with the Lorentz-polarization factor, no thermal factor.

Most intense lines, 10° ≤ 2θ ≤ 80°, most intense first:
| h k l | 2theta | I (rel.) |
| --- | --- | --- |
| 2 2 0 | 39.4 | 100 |
| 1 1 1 | 23.8 | 39 |
| 4 2 2 | 71.4 | 32 |
| 3 1 1 | 46.5 | 20 |
| 4 0 0 | 56.9 | 16 |
| 3 3 1 | 62.6 | 8 |
| 5 1 1 | 76.5 | 6 |
| 2 0 0 | 27.6 | 4 |
| 4 2 0 | 64.4 | 1 |
| 2 2 2 | 48.7 | 1 |

Lattice parameters (Å, degrees): 6.471 6.471 6.471 90.00 90.00 90.00
Space group F-43m (No. 216)
Unique sites:
Be 0.000 0.000 0.000 x4
Cu 0.250 0.250 0.750 x4
Ag 0.250 0.250 0.250 x4
Sb 0.000 0.000 0.500 x4

---

Record 5
Structure and theoretical X-ray powder pattern of CuBiAsF (a structure optimized by DFT (PBE); CuKα).
Kinematic intensities with the Lorentz-polarization factor, no thermal factor.

Most intense lines, 10° ≤ 2θ ≤ 80°, most intense first:
| h k l | 2theta | I (rel.) |
| --- | --- | --- |
| 2 1 1 | 36.5 | 100 |
| 1 2 1 | 32.5 | 55 |
| 1 1 2 | 31.5 | 44 |
| 0 1 2 | 27.1 | 35 |
| 1 0 1 | 19.7 | 31 |
| 1 3 2 | 48.9 | 27 |
| 1 1 3 | 41.7 | 26 |
| 0 0 2 | 23.8 | 24 |
| 0 2 1 | 28.3 | 23 |
| 0 2 0 | 25.6 | 23 |

Lattice parameters (Å, degrees): 5.630 6.964 7.478 90.00 90.00 90.00
Space group P2_12_12_1 (No. 19)
Unique sites:
Cu 0.127 0.103 0.344 x4
Bi 0.091 0.560 0.682 x4
As 0.143 0.862 0.119 x4
F 0.089 0.344 0.943 x4

---

Record 6
Structure and theoretical X-ray powder pattern of Tb2GdCo2C2N3 (a structure optimized by DFT (PBE); CuKα).
Kinematic intensities with the Lorentz-polarization factor, no thermal factor.

Most intense lines, 10° ≤ 2θ ≤ 80°, most intense first:
| h k l | 2theta | I (rel.) |
| --- | --- | --- |
| 1 0 3 | 29.2 | 100 |
| 1 0 5 | 34.6 | 67 |
| 0 0 8 | 36.9 | 45 |
| 1 1 0 | 36.6 | 40 |
| 2 0 0 | 52.8 | 35 |
| 1 1 2 | 37.8 | 32 |
| 2 0 8 | 66.1 | 31 |
| 1 1 4 | 41.2 | 30 |
| 1 1 6 | 46.4 | 27 |
| 2 1 3 | 61.5 | 27 |

Lattice parameters (Å, degrees): 3.468 3.468 19.503 90.00 90.00 90.00
Space group I4/mmm (No. 139)
Unique sites:
Tb 0.000 0.000 0.128 x4
Gd 0.000 0.000 0.500 x2
Co 0.000 0.500 0.250 x4
C 0.000 0.000 0.306 x4
N 0.000 0.000 0.000 x2
N 0.000 0.000 0.379 x4

---

Record 7
Structure and theoretical X-ray powder pattern of LiAgTe3Os (a structure optimized by DFT (PBE); CuKα).
Kinematic intensities with the Lorentz-polarization factor, no thermal factor.

Most intense lines, 10° ≤ 2θ ≤ 80°, most intense first:
| h k l | 2theta | I (rel.) |
| --- | --- | --- |
| 0 2 0 | 13.3 | 100 |
| 1 3 2 | 34.7 | 87 |
| 0 0 4 | 34.0 | 62 |
| 1 3 0 | 30.1 | 58 |
| 2 0 4 | 58.0 | 45 |
| 1 3 1 | 31.3 | 43 |
| 0 6 2 | 44.2 | 37 |
| 1 3 4 | 46.0 | 35 |
| 2 0 0 | 45.6 | 28 |
| 0 0 2 | 16.8 | 28 |

Lattice parameters (Å, degrees): 3.982 13.354 10.550 90.00 90.00 90.00
Space group Cmcm (No. 63)
Unique sites:
Li 0.000 0.240 0.250 x4
Ag 0.000 0.424 0.750 x4
Te 0.000 0.079 0.750 x4
Te 0.000 0.363 0.510 x8
Os 0.000 0.000 0.000 x4